(1)
Computed powder X-ray diffraction pattern
Compound: Cs7BiH2Cl2
Radiation: copper Kα
Structure: the PBE geometry in Alexandria

Structure:
```
data_Cs7BiH2Cl2
_cell_length_a 6.7350
_cell_length_b 24.7995
_cell_length_c 6.7464
_cell_angle_alpha 90.00
_cell_angle_beta 90.00
_cell_angle_gamma 90.00
_space_group_name_H-M_alt 'I m m 2'
_space_group_IT_number 44
loop_
_space_group_symop_operation_xyz
'x,y,z'
'-x,-y,z'
'-x,y,z'
'x,-y,z'
'x+1/2,y+1/2,z+1/2'
'-x+1/2,-y+1/2,z+1/2'
'-x+1/2,y+1/2,z+1/2'
'x+1/2,-y+1/2,z+1/2'
loop_
_atom_site_label
_atom_site_type_symbol
_atom_site_fract_x
_atom_site_fract_y
_atom_site_fract_z
Cs1 Cs 0.0000 0.0000 0.0000
Cs2 Cs 0.0000 0.1011 0.4860
Cs3 Cs 0.0000 0.2375 0.9775
Cs4 Cs 0.0000 0.3989 0.4713
Bi1 Bi 0.0000 0.5000 0.9668
H1 H 0.0000 0.1191 0.9691
Cl1 Cl 0.0000 0.2499 0.4774
```

The 10 most intense peaks (2θ = 10–90°), low angle first:
| 2θ (°) | I/Imax | h k l |
| --- | --- | --- |
| 23.5 | 100.0 | 1 4 1 |
| 26.4 | 61.3 | 2 0 0 |
| 28.6 | 24.1 | 1 6 1 |
| 28.8 | 11.5 | 0 8 0 |
| 37.7 | 23.4 | 2 0 2 |
| 39.5 | 19.1 | 2 8 0 |
| 45.0 | 35.3 | 3 4 1 |
| 48.2 | 10.6 | 2 8 2 |
| 54.4 | 7.9 | 4 0 0 |
| 61.5 | 10.8 | 4 0 2 |


(2)
Computed powder X-ray diffraction pattern
Compound: Cs2BiOsCl6
Radiation: copper Kα
Structure: the PBE geometry in Alexandria

Structure:
```
data_Cs2BiOsCl6
_cell_length_a 7.4521
_cell_length_b 7.4521
_cell_length_c 10.6968
_cell_angle_alpha 90.00
_cell_angle_beta 90.00
_cell_angle_gamma 90.00
_space_group_name_H-M_alt 'I 4/m m m'
_space_group_IT_number 139
_space_group_name_Hall '-I 4 2'
loop_
_atom_site_label
_atom_site_type_symbol
_atom_site_fract_x
_atom_site_fract_y
_atom_site_fract_z
Cs1 Cs 0.0000 0.5000 0.2500
Bi1 Bi 0.0000 0.0000 0.0000
Os1 Os 0.0000 0.0000 0.5000
Cl1 Cl 0.0000 0.0000 0.2723
Cl2 Cl 0.2302 0.2302 0.5000
```

The 10 most intense peaks (2θ = 10–90°), low angle first:
| 2θ (°) | I/Imax | h k l |
| --- | --- | --- |
| 23.7 | 100.0 | 1 1 2 |
| 23.9 | 49.0 | 2 0 0 |
| 33.5 | 22.6 | 0 0 4 |
| 34.0 | 43.5 | 2 2 0 |
| 41.6 | 22.7 | 2 0 4 |
| 41.9 | 44.9 | 3 1 2 |
| 48.5 | 30.3 | 2 2 4 |
| 48.9 | 14.9 | 4 0 0 |
| 55.1 | 22.2 | 4 2 0 |
| 60.6 | 15.1 | 4 0 4 |


(3)
Computed powder X-ray diffraction pattern
Compound: Cs2RbBiCl6
Radiation: copper Kα
Structure: the PBE geometry in Alexandria

Structure:
```
data_Cs2RbBiCl6
_cell_length_a 8.0422
_cell_length_b 8.4187
_cell_length_c 14.0588
_cell_angle_alpha 90.00
_cell_angle_beta 124.82
_cell_angle_gamma 90.00
_space_group_name_H-M_alt 'P 1 21/c 1'
_space_group_IT_number 14
loop_
_space_group_symop_operation_xyz
'x,y,z'
'-x,-y,-z'
'-x,y+1/2,-z+1/2'
'x,-y+1/2,z+1/2'
loop_
_atom_site_label
_atom_site_type_symbol
_atom_site_fract_x
_atom_site_fract_y
_atom_site_fract_z
Cs1 Cs 0.2310 0.0628 0.2503
Rb1 Rb 0.5000 0.0000 0.0000
Bi1 Bi 0.0000 0.0000 0.5000
Cl1 Cl 0.1220 0.2291 0.9466
Cl2 Cl 0.2303 0.6815 0.9547
Cl3 Cl 0.3208 0.0318 0.7268
```

The 10 most intense peaks (2θ = 10–90°), low angle first:
| 2θ (°) | I/Imax | h k l |
| --- | --- | --- |
| 13.0 | 16.3 | 0 1 1 |
| 13.4 | 15.4 | 1 0 0 |
| 21.1 | 22.1 | 0 2 0 |
| 21.7 | 100.0 | 1 1 -3 |
| 22.1 | 23.2 | 2 0 -2 |
| 30.8 | 33.3 | 2 2 -2 |
| 31.0 | 20.9 | 0 0 4 |
| 37.3 | 15.4 | 1 3 -3 |
| 38.5 | 32.1 | 3 1 -5 |
| 44.2 | 19.2 | 2 2 -6 |


(4)
Computed powder X-ray diffraction pattern
Compound: CsBiSeCl2
Radiation: copper Kα
Structure: the PBE geometry in Alexandria

Structure:
```
data_CsBiSeCl2
_cell_length_a 4.2529
_cell_length_b 19.4077
_cell_length_c 8.4221
_cell_angle_alpha 90.00
_cell_angle_beta 90.00
_cell_angle_gamma 90.00
_space_group_name_H-M_alt 'C m c m'
_space_group_IT_number 63
_space_group_name_Hall '-C 2c 2'
loop_
_atom_site_label
_atom_site_type_symbol
_atom_site_fract_x
_atom_site_fract_y
_atom_site_fract_z
Cs1 Cs 0.0000 0.2114 0.2500
Bi1 Bi 0.0000 0.5000 0.0000
Se1 Se 0.0000 0.0145 0.2500
Cl1 Cl 0.0000 0.3600 0.0207
```

The 10 most intense peaks (2θ = 10–90°), low angle first:
| 2θ (°) | I/Imax | h k l |
| --- | --- | --- |
| 18.3 | 50.8 | 0 4 0 |
| 21.4 | 17.9 | 1 1 0 |
| 23.0 | 38.6 | 0 2 2 |
| 23.9 | 27.7 | 1 1 1 |
| 27.6 | 21.6 | 0 6 0 |
| 30.2 | 100.0 | 1 1 2 |
| 38.0 | 59.5 | 1 5 2 |
| 38.8 | 22.7 | 1 7 0 |
| 43.0 | 25.2 | 0 0 4 |
| 52.3 | 21.9 | 1 9 2 |


(5)
Computed powder X-ray diffraction pattern
Compound: CsSnBiCl6
Radiation: copper Kα
Structure: the PBE geometry in Alexandria

Structure:
```
data_CsSnBiCl6
_cell_length_a 7.3693
_cell_length_b 7.3693
_cell_length_c 7.6464
_cell_angle_alpha 90.00
_cell_angle_beta 90.00
_cell_angle_gamma 120.00
_space_group_name_H-M_alt 'P 3 1 2'
_space_group_IT_number 149
loop_
_space_group_symop_operation_xyz
'x,y,z'
'-y,x-y,z'
'-x+y,-x,z'
'-y,-x,-z'
'-x+y,y,-z'
'x,x-y,-z'
loop_
_atom_site_label
_atom_site_type_symbol
_atom_site_fract_x
_atom_site_fract_y
_atom_site_fract_z
Cs1 Cs 0.0000 0.0000 0.0000
Sn1 Sn 0.3333 0.6667 0.5000
Bi1 Bi 0.6667 0.3333 0.5000
Cl1 Cl 0.3836 0.0136 0.7093
```

The 10 most intense peaks (2θ = 10–90°), low angle first:
| 2θ (°) | I/Imax | h k l |
| --- | --- | --- |
| 11.6 | 29.6 | 0 0 1 |
| 18.1 | 100.0 | 1 0 1 |
| 24.2 | 32.1 | 1 1 0 |
| 26.9 | 23.6 | 2 -1 1 |
| 30.4 | 23.7 | 2 0 1 |
| 33.8 | 67.7 | 2 -1 2 |
| 39.2 | 28.8 | 3 -1 1 |
| 42.5 | 22.5 | 3 0 0 |
| 53.1 | 13.7 | 3 1 1 |
| 55.4 | 14.7 | 2 2 2 |


(6)
Computed powder X-ray diffraction pattern
Compound: Cs2BiTeCl3
Radiation: copper Kα
Structure: the PBE geometry in Alexandria

Structure:
```
data_Cs2BiTeCl3
_cell_length_a 5.6792
_cell_length_b 6.0269
_cell_length_c 17.6636
_cell_angle_alpha 90.00
_cell_angle_beta 90.00
_cell_angle_gamma 90.00
_space_group_name_H-M_alt 'I m m m'
_space_group_IT_number 71
_space_group_name_Hall '-I 2 2'
loop_
_atom_site_label
_atom_site_type_symbol
_atom_site_fract_x
_atom_site_fract_y
_atom_site_fract_z
Cs1 Cs 0.0000 0.0000 0.1455
Bi1 Bi 0.0000 0.0000 0.5000
Te1 Te 0.0000 0.5000 0.5000
Cl1 Cl 0.0000 0.0000 0.3423
Cl2 Cl 0.0000 0.5000 0.0000
```

The 10 most intense peaks (2θ = 10–90°), low angle first:
| 2θ (°) | I/Imax | h k l |
| --- | --- | --- |
| 10.0 | 97.4 | 0 0 2 |
| 21.1 | 41.3 | 0 1 3 |
| 21.5 | 71.3 | 1 1 0 |
| 21.7 | 100.0 | 1 0 3 |
| 29.6 | 79.1 | 0 2 0 |
| 30.4 | 40.1 | 0 0 6 |
| 31.5 | 46.7 | 2 0 0 |
| 37.1 | 53.3 | 1 2 3 |
| 42.9 | 30.4 | 0 2 6 |
| 43.8 | 36.8 | 2 2 0 |


Number 6 is which compound?
Cs2BiTeCl3